Diffraction record for Li3Mn3O4F4. The powder diffractogram is computed, not measured: it uses a PBE+U-relaxed structure and λ = 1.5418 Å (Cu Kα).

Structure:
Cell: 10.5655 5.8102 6.0608 Å, 90.00 123.37 90.00°
Space group C2/m (No. 12)
Asymmetric unit:
Li 0.0000 0.0000 0.0000 (multiplicity 2)
Li 0.1525 0.5000 0.4166 (multiplicity 4)
Mn 0.0000 0.0000 0.5000 (multiplicity 2)
Mn 0.2500 0.2500 0.0000 (multiplicity 4)
O 0.2165 0.0000 0.7448 (multiplicity 4)
O 0.2381 0.0000 0.1935 (multiplicity 4)
F 0.0106 0.2416 0.2622 (multiplicity 8)

Largest 10 diffraction maxima, in order of falling intensity, 2θ = 10–90°:
2θ (°)  I_rel  h k l
18.0  100  2 0 -1
43.1  57  2 2 -2
40.9  33  4 0 0
18.3  32  1 1 0
35.6  28  0 2 1
33.5  23  2 0 1
60.3  19  2 2 2
61.6  17  6 2 -2
17.5  12  0 0 1
21.2  12  1 1 -1